No. 1
# NaPuAl2O8
Simulated powder X-ray diffraction pattern, Cu Kα (λ = 1.5418 Å). Input: a cell relaxed with PBE.

Atomic structure:
```
data_NaPuAl2O8
_chemical_formula_sum 'Na2 Pu2 Al4 O16'
_space_group_name_H-M_alt 'I -4 m 2'
_space_group_IT_number 119
_space_group_name_Hall 'I -4 -2'
_cell_length_a 6.895
_cell_length_b 6.895
_cell_length_c 6.398
_cell_angle_alpha 90.00
_cell_angle_beta 90.00
_cell_angle_gamma 90.00
loop_
_atom_site_label
_atom_site_type_symbol
_atom_site_fract_x
_atom_site_fract_y
_atom_site_fract_z
_atom_site_occupancy
Na1 Na 0.000 0.000 0.000 1
Pu1 Pu 0.000 0.500 0.750 1
Al1 Al 0.000 0.000 0.500 1
Al2 Al 0.000 0.500 0.250 1
O1 O 0.000 0.209 0.665 1
O2 O 0.000 0.322 0.052 1
```

Principal peaks in the range 2θ from 15° to 90°, low angle first:
2θ (°)	I_rel	index
18.2	60	1 1 0
18.9	100	1 0 1
25.8	60	2 0 0
32.2	39	2 1 1
33.5	44	1 1 2
38.4	19	2 0 2
41.8	21	3 0 1
44.5	16	1 0 3
49.8	18	3 2 1
50.7	39	3 1 2


No. 2
# SmDy3Te2
Simulated powder X-ray diffraction pattern, Cu Kα (λ = 1.5418 Å). Input: a cell relaxed with PBE.

Atomic structure:
```
data_SmDy3Te2
_chemical_formula_sum 'Sm4 Dy12 Te8'
_space_group_name_H-M_alt 'C 1 2/m 1'
_space_group_IT_number 12
_cell_length_a 18.317
_cell_length_b 3.933
_cell_length_c 10.721
_cell_angle_alpha 90.00
_cell_angle_beta 113.07
_cell_angle_gamma 90.00
loop_
_space_group_symop_operation_xyz
'x,y,z'
'-x,-y,-z'
'-x,y,-z'
'x,-y,z'
'x+1/2,y+1/2,z'
'-x+1/2,-y+1/2,-z'
'-x+1/2,y+1/2,-z'
'x+1/2,-y+1/2,z'
loop_
_atom_site_label
_atom_site_type_symbol
_atom_site_fract_x
_atom_site_fract_y
_atom_site_fract_z
_atom_site_occupancy
Sm1 Sm 0.110 0.000 0.103 1
Dy1 Dy 0.049 0.000 0.655 1
Dy2 Dy 0.133 0.500 0.462 1
Dy3 Dy 0.191 0.500 0.869 1
Te1 Te 0.012 0.500 0.846 1
Te2 Te 0.248 0.500 0.309 1
```

Principal peaks in the range 2θ from 15° to 90°, low angle first:
2θ (°)	I_rel	index
27.1	29	4 0 -3
28.2	41	1 1 -2
29.5	28	6 0 -1
30.8	63	1 1 2
32.9	100	6 0 -3
33.5	72	5 1 -1
34.3	56	1 1 -3
36.5	29	6 0 1
46.2	31	0 2 0
57.8	40	6 2 -3


No. 3
# LaSm12Y6
Simulated powder X-ray diffraction pattern, Cu Kα (λ = 1.5418 Å). Input: a cell relaxed with PBE.

Atomic structure:
```
data_LaSm12Y6
_chemical_formula_sum 'La3 Sm36 Y18'
_space_group_name_H-M_alt 'R -3 m'
_space_group_IT_number 166
_space_group_name_Hall '-R 3 2"'
_cell_length_a 13.4671
_cell_length_b 13.4671
_cell_length_c 12.6469
_cell_angle_alpha 90.00
_cell_angle_beta 90.00
_cell_angle_gamma 120.00
loop_
_atom_site_label
_atom_site_type_symbol
_atom_site_fract_x
_atom_site_fract_y
_atom_site_fract_z
_atom_site_occupancy
La1 La 0.0000 0.0000 0.0000 1
Sm1 Sm 0.0000 0.2569 0.5000 1
Sm2 Sm 0.0917 0.1834 0.2621 1
Y1 Y 0.0385 0.5193 0.6220 1
```

Principal peaks in the range 2θ from 15° to 90°, low angle first:
2θ (°)	I_rel	index
16.7	21	0 2 1
28.5	24	1 3 1
29.3	52	1 0 4
31.1	62	3 1 2
31.3	60	0 3 3
31.5	100	4 0 1
33.9	47	0 4 2
34.1	24	2 2 3
54.5	27	4 4 0
56.1	28	4 3 4


No. 4
# LaWN3
Simulated powder X-ray diffraction pattern, Cu Kα (λ = 1.5418 Å). Input: a cell relaxed with PBE.

Atomic structure:
```
data_LaWN3
_chemical_formula_sum 'La4 W4 N12'
_space_group_name_H-M_alt 'P n m a'
_space_group_IT_number 62
_cell_length_a 5.662
_cell_length_b 7.996
_cell_length_c 5.689
_cell_angle_alpha 90.00
_cell_angle_beta 90.00
_cell_angle_gamma 90.00
loop_
_space_group_symop_operation_xyz
'x,y,z'
'-x,-y,-z'
'-x+1/2,-y,z+1/2'
'x+1/2,y,-z+1/2'
'x+1/2,-y+1/2,-z+1/2'
'-x+1/2,y+1/2,z+1/2'
'-x,y+1/2,-z'
'x,-y+1/2,z'
loop_
_atom_site_label
_atom_site_type_symbol
_atom_site_fract_x
_atom_site_fract_y
_atom_site_fract_z
_atom_site_occupancy
La1 La 0.018 0.250 0.002 1
W1 W 0.000 0.000 0.500 1
N1 N 0.005 0.750 0.442 1
N2 N 0.227 0.530 0.770 1
```

Principal peaks in the range 2θ from 15° to 90°, low angle first:
2θ (°)	I_rel	index
22.2	5	1 0 1
31.5	20	0 0 2
31.6	100	1 2 1
45.2	20	2 0 2
45.4	10	0 4 0
56.1	17	1 2 3
56.3	32	0 4 2
66.0	15	2 4 2
74.9	10	3 2 3
75.1	7	1 6 1


No. 5
# Sn9O4F10
Simulated powder X-ray diffraction pattern, Cu Kα (λ = 1.5418 Å). Input: a cell relaxed with PBE.

Atomic structure:
```
data_Sn9O4F10
_chemical_formula_sum 'Sn18 O8 F20'
_space_group_name_H-M_alt 'P 4/n'
_space_group_IT_number 85
_cell_length_a 11.074
_cell_length_b 11.074
_cell_length_c 7.559
_cell_angle_alpha 90.00
_cell_angle_beta 90.00
_cell_angle_gamma 90.00
loop_
_space_group_symop_operation_xyz
'x,y,z'
'-x,-y,-z'
'-y+1/2,x,z'
'y+1/2,-x,-z'
'-x+1/2,-y+1/2,z'
'x+1/2,y+1/2,-z'
'y,-x+1/2,z'
'-y,x+1/2,-z'
loop_
_atom_site_label
_atom_site_type_symbol
_atom_site_fract_x
_atom_site_fract_y
_atom_site_fract_z
_atom_site_occupancy
Sn1 Sn 0.029 0.613 0.165 1
Sn2 Sn 0.111 0.668 0.665 1
Sn3 Sn 0.250 0.250 0.223 1
O1 O 0.131 0.693 0.374 1
F1 F 0.047 0.141 0.201 1
F2 F 0.050 0.095 0.642 1
F3 F 0.250 0.250 0.957 1
F4 F 0.250 0.750 0.000 1
```

Principal peaks in the range 2θ from 15° to 90°, low angle first:
2θ (°)	I_rel	index
23.5	30	0 0 2
25.4	61	1 3 0
26.9	26	3 0 1
29.7	100	2 1 2
31.4	51	3 2 1
36.3	34	4 2 0
47.6	23	5 0 2
51.8	35	2 1 4
55.9	24	1 5 3
64.9	22	6 2 3


No. 6
# BaTbZn2Ge2
Simulated powder X-ray diffraction pattern, Cu Kα (λ = 1.5418 Å). Input: a cell relaxed with PBE.

Atomic structure:
```
data_BaTbZn2Ge2
_chemical_formula_sum 'Ba1 Tb1 Zn2 Ge2'
_space_group_name_H-M_alt 'P -3 m 1'
_space_group_IT_number 164
_space_group_name_Hall '-P 3 2"'
_cell_length_a 4.3114
_cell_length_b 4.3114
_cell_length_c 8.9962
_cell_angle_alpha 90.00
_cell_angle_beta 90.00
_cell_angle_gamma 120.00
loop_
_atom_site_label
_atom_site_type_symbol
_atom_site_fract_x
_atom_site_fract_y
_atom_site_fract_z
_atom_site_occupancy
Ba1 Ba 0.0000 0.0000 0.0000 1
Tb1 Tb 0.0000 0.0000 0.5000 1
Zn1 Zn 0.3333 0.6667 0.7101 1
Ge1 Ge 0.3333 0.6667 0.2834 1
```

Principal peaks in the range 2θ from 15° to 90°, low angle first:
2θ (°)	I_rel	index
23.8	11	1 0 0
31.1	100	0 1 2
40.1	10	0 0 4
41.9	42	1 1 0
47.2	7	1 0 4
53.1	22	2 0 2
59.4	19	1 1 4
67.3	6	1 0 6
69.9	19	1 2 2
76.5	7	3 0 0


No. 7
# Cd12Ag5Hg2
Simulated powder X-ray diffraction pattern, Cu Kα (λ = 1.5418 Å). Input: a cell relaxed with PBE.

Atomic structure:
```
data_Cd12Ag5Hg2
_chemical_formula_sum 'Cd24 Ag10 Hg4'
_space_group_name_H-M_alt 'C 1 2/m 1'
_space_group_IT_number 12
_cell_length_a 19.503
_cell_length_b 9.194
_cell_length_c 4.648
_cell_angle_alpha 90.00
_cell_angle_beta 102.77
_cell_angle_gamma 90.00
loop_
_space_group_symop_operation_xyz
'x,y,z'
'-x,-y,-z'
'-x,y,-z'
'x,-y,z'
'x+1/2,y+1/2,z'
'-x+1/2,-y+1/2,-z'
'-x+1/2,y+1/2,-z'
'x+1/2,-y+1/2,z'
loop_
_atom_site_label
_atom_site_type_symbol
_atom_site_fract_x
_atom_site_fract_y
_atom_site_fract_z
_atom_site_occupancy
Cd1 Cd 0.097 0.000 0.106 1
Cd2 Cd 0.098 0.243 0.599 1
Cd3 Cd 0.102 0.500 0.102 1
Cd4 Cd 0.203 0.248 0.204 1
Ag1 Ag 0.000 0.500 0.500 1
Ag2 Ag 0.198 0.000 0.703 1
Ag3 Ag 0.198 0.500 0.696 1
Hg1 Hg 0.000 0.247 0.000 1
```

Principal peaks in the range 2θ from 15° to 90°, low angle first:
2θ (°)	I_rel	index
36.0	100	4 2 1
36.5	97	6 2 -1
38.8	41	2 0 -2
39.2	39	0 4 0
47.8	22	10 0 0
56.3	27	2 4 -2
63.5	18	10 4 0
68.1	15	2 2 3
69.0	28	8 2 -3
69.3	14	6 6 -1


No. 8
# YTmHg5
Simulated powder X-ray diffraction pattern, Cu Kα (λ = 1.5418 Å). Input: a cell relaxed with PBE.

Atomic structure:
```
data_YTmHg5
_chemical_formula_sum 'Y2 Tm2 Hg10'
_space_group_name_H-M_alt 'C m m m'
_space_group_IT_number 65
_space_group_name_Hall '-C 2 2'
_cell_length_a 6.664
_cell_length_b 7.780
_cell_length_c 7.014
_cell_angle_alpha 90.00
_cell_angle_beta 90.00
_cell_angle_gamma 90.00
loop_
_atom_site_label
_atom_site_type_symbol
_atom_site_fract_x
_atom_site_fract_y
_atom_site_fract_z
_atom_site_occupancy
Y1 Y 0.000 0.000 0.000 1
Tm1 Tm 0.000 0.500 0.500 1
Hg1 Hg 0.000 0.000 0.500 1
Hg2 Hg 0.250 0.250 0.235 1
```

Principal peaks in the range 2θ from 15° to 90°, low angle first:
2θ (°)	I_rel	index
26.2	16	0 2 1
34.4	100	0 2 2
35.5	94	2 2 0
37.2	82	2 0 2
46.7	22	0 4 0
52.2	15	0 0 4
61.2	39	2 4 2
64.7	31	2 2 4
66.6	30	4 2 2
79.3	18	2 6 0


Q: Which formula does entry 4 have?
A: LaWN3